# 1
The following is a simulated powder diffractogram of Rb2InNiCl6. It was derived from a DFT-relaxed cell (GGA-PBE, OQMD), using Cu Kα X-rays.
No peak broadening, texture or thermal motion is included.

Structural model:
```
data_Rb2InNiCl6
_symmetry_space_group_name_H-M 'I 4/m'
_symmetry_Int_Tables_number 87
_symmetry_space_group_name_Hall '-I 4'
_cell_length_a 7.1598
_cell_length_b 7.1598
_cell_length_c 10.1365
_cell_angle_alpha 90.00
_cell_angle_beta 90.00
_cell_angle_gamma 90.00
loop_
_atom_site_label
_atom_site_type_symbol
_atom_site_fract_x
_atom_site_fract_y
_atom_site_fract_z
Rb1 Rb 0.0000 0.5000 0.2500
In1 In 0.0000 0.0000 0.0000
Ni1 Ni 0.0000 0.0000 0.5000
Cl1 Cl 0.0000 0.0000 0.2597
Cl2 Cl 0.2321 0.2481 0.5000
```

The 6 most intense peaks (5 to 70 degrees two-theta), sorted by position:
d/Å	intensity
3.581	100.0
2.924	21.2
2.532	79.2
2.068	44.4
1.791	51.3
1.354	22.8

***

# 2
The following is a simulated powder diffractogram of InPdCl6. It was derived from a DFT-relaxed cell (GGA-PBE, OQMD), using Cu Kα X-rays.
No peak broadening, texture or thermal motion is included.

Structural model:
```
data_InPdCl6
_symmetry_space_group_name_H-M 'P 1'
_symmetry_Int_Tables_number 1
_cell_length_a 5.1552
_cell_length_b 6.1765
_cell_length_c 7.1481
_cell_angle_alpha 112.89
_cell_angle_beta 94.38
_cell_angle_gamma 110.92
loop_
_symmetry_equiv_pos_as_xyz
'x,y,z'
loop_
_atom_site_label
_atom_site_type_symbol
_atom_site_fract_x
_atom_site_fract_y
_atom_site_fract_z
In1 In 0.0000 0.0000 0.0000
Pd1 Pd 0.9701 0.0011 0.4979
Cl1 Cl 0.1233 0.3233 0.8444
Cl2 Cl 0.1239 0.3185 0.3783
Cl3 Cl 0.4697 0.0004 0.4954
Cl4 Cl 0.4855 0.0016 0.9929
Cl5 Cl 0.8162 0.6848 0.6191
Cl6 Cl 0.8209 0.6775 0.1519
```

The 6 most intense peaks (5 to 70 degrees two-theta), sorted by position:
d/Å	intensity
5.161	100.0
4.662	78.0
4.538	65.8
3.188	41.9
2.674	58.5
2.569	56.4

***

# 3
The following is a simulated powder diffractogram of Rb2InPtCl6. It was derived from a DFT-relaxed cell (GGA-PBE, OQMD), using Cu Kα X-rays.
No peak broadening, texture or thermal motion is included.

Structural model:
```
data_Rb2InPtCl6
_symmetry_space_group_name_H-M 'P -3 1 c'
_symmetry_Int_Tables_number 163
_symmetry_space_group_name_Hall '-P 3 2c'
_cell_length_a 7.1218
_cell_length_b 7.1218
_cell_length_c 13.7776
_cell_angle_alpha 90.00
_cell_angle_beta 90.00
_cell_angle_gamma 120.00
loop_
_atom_site_label
_atom_site_type_symbol
_atom_site_fract_x
_atom_site_fract_y
_atom_site_fract_z
Rb1 Rb 0.3333 0.6667 0.0319
In1 In 0.0000 0.0000 0.2500
Pt1 Pt 0.3333 0.6667 0.7500
Cl1 Cl 0.0496 0.3205 0.8556
```

The 6 most intense peaks (5 to 70 degrees two-theta), sorted by position:
d/Å	intensity
5.629	72.9
3.684	60.6
3.561	71.1
2.560	32.7
2.476	100.0
2.056	43.3

***

# 4
The following is a simulated powder diffractogram of PuIn2Cl6. It was derived from a DFT-relaxed cell (GGA-PBE, OQMD), using Cu Kα X-rays.
No peak broadening, texture or thermal motion is included.

Structural model:
```
data_PuIn2Cl6
_symmetry_space_group_name_H-M 'I 4/m m m'
_symmetry_Int_Tables_number 139
_symmetry_space_group_name_Hall '-I 4 2'
_cell_length_a 7.2185
_cell_length_b 7.2185
_cell_length_c 10.2231
_cell_angle_alpha 90.00
_cell_angle_beta 90.00
_cell_angle_gamma 90.00
loop_
_atom_site_label
_atom_site_type_symbol
_atom_site_fract_x
_atom_site_fract_y
_atom_site_fract_z
Pu1 Pu 0.0000 0.0000 0.0000
In1 In 0.0000 0.5000 0.2500
Cl1 Cl 0.0000 0.0000 0.2524
Cl2 Cl 0.2473 0.2473 0.5000
```

The 6 most intense peaks (5 to 70 degrees two-theta), sorted by position:
d/Å	intensity
5.897	70.4
3.611	100.0
3.079	47.5
2.553	60.9
2.085	46.8
1.805	41.3

***

# 5
The following is a simulated powder diffractogram of Rb2InTcCl6. It was derived from a DFT-relaxed cell (GGA-PBE, OQMD), using Cu Kα X-rays.
No peak broadening, texture or thermal motion is included.

Structural model:
```
data_Rb2InTcCl6
_symmetry_space_group_name_H-M 'F m -3 m'
_symmetry_Int_Tables_number 225
_symmetry_space_group_name_Hall '-F 4 2 3'
_cell_length_a 10.6505
_cell_length_b 10.6505
_cell_length_c 10.6505
_cell_angle_alpha 90.00
_cell_angle_beta 90.00
_cell_angle_gamma 90.00
loop_
_atom_site_label
_atom_site_type_symbol
_atom_site_fract_x
_atom_site_fract_y
_atom_site_fract_z
Rb1 Rb 0.2500 0.2500 0.2500
In1 In 0.0000 0.0000 0.0000
Tc1 Tc 0.0000 0.0000 0.5000
Cl1 Cl 0.0000 0.0000 0.2732
```

The 6 most intense peaks (5 to 70 degrees two-theta), sorted by position:
d/Å	intensity
3.766	100.0
2.663	68.0
2.174	42.6
1.883	44.0
1.684	23.3
1.423	24.9

***

# 6
The following is a simulated powder diffractogram of Ta3In2Cl9. It was derived from a DFT-relaxed cell (GGA-PBE, OQMD), using Cu Kα X-rays.
No peak broadening, texture or thermal motion is included.

Structural model:
```
data_Ta3In2Cl9
_symmetry_space_group_name_H-M 'C 1 2/m 1'
_symmetry_Int_Tables_number 12
_cell_length_a 10.8183
_cell_length_b 15.5676
_cell_length_c 9.6740
_cell_angle_alpha 90.00
_cell_angle_beta 117.49
_cell_angle_gamma 90.00
loop_
_symmetry_equiv_pos_as_xyz
'x,y,z'
'-x,-y,-z'
'-x,y,-z'
'x,-y,z'
'x+1/2,y+1/2,z'
'-x+1/2,-y+1/2,-z'
'-x+1/2,y+1/2,-z'
'x+1/2,-y+1/2,z'
loop_
_atom_site_label
_atom_site_type_symbol
_atom_site_fract_x
_atom_site_fract_y
_atom_site_fract_z
Ta1 Ta 0.1038 0.0000 0.3678
Ta2 Ta 0.1316 0.0926 0.6407
In1 In 0.1055 0.3475 0.8366
Cl1 Cl 0.0000 0.2217 0.5000
Cl2 Cl 0.0340 0.1112 0.8244
Cl3 Cl 0.1815 0.5000 0.1642
Cl4 Cl 0.1998 0.2880 0.1764
Cl5 Cl 0.2201 0.3886 0.4893
Cl6 Cl 0.2371 0.0000 0.2036
```

The 6 most intense peaks (5 to 70 degrees two-theta), sorted by position:
d/Å	intensity
8.582	41.2
8.169	96.1
7.784	32.9
7.591	100.0
3.541	31.3
2.622	57.2

***

# 7
The following is a simulated powder diffractogram of Tl2ZnInCl6. It was derived from a DFT-relaxed cell (GGA-PBE, OQMD), using Cu Kα X-rays.
No peak broadening, texture or thermal motion is included.

Structural model:
```
data_Tl2ZnInCl6
_symmetry_space_group_name_H-M 'P 1 21/c 1'
_symmetry_Int_Tables_number 14
_cell_length_a 7.1194
_cell_length_b 7.3542
_cell_length_c 12.5184
_cell_angle_alpha 90.00
_cell_angle_beta 124.53
_cell_angle_gamma 90.00
loop_
_symmetry_equiv_pos_as_xyz
'x,y,z'
'-x,-y,-z'
'-x,y+1/2,-z+1/2'
'x,-y+1/2,z+1/2'
loop_
_atom_site_label
_atom_site_type_symbol
_atom_site_fract_x
_atom_site_fract_y
_atom_site_fract_z
Tl1 Tl 0.2351 0.0549 0.2498
Zn1 Zn 0.0000 0.0000 0.5000
In1 In 0.5000 0.0000 0.0000
Cl1 Cl 0.1709 0.2220 0.9722
Cl2 Cl 0.2544 0.6984 0.9734
Cl3 Cl 0.2925 0.0055 0.7393
```

The 6 most intense peaks (5 to 70 degrees two-theta), sorted by position:
d/Å	intensity
3.632	100.0
3.560	26.5
2.578	25.8
2.558	36.5
2.069	26.5
1.816	23.5

***

# 8
The following is a simulated powder diffractogram of TmInCl6. It was derived from a DFT-relaxed cell (GGA-PBE, OQMD), using Cu Kα X-rays.
No peak broadening, texture or thermal motion is included.

Structural model:
```
data_TmInCl6
_symmetry_space_group_name_H-M 'C 1 2 1'
_symmetry_Int_Tables_number 5
_cell_length_a 6.5815
_cell_length_b 11.4224
_cell_length_c 6.4728
_cell_angle_alpha 90.00
_cell_angle_beta 109.92
_cell_angle_gamma 90.00
loop_
_symmetry_equiv_pos_as_xyz
'x,y,z'
'-x,y,-z'
'x+1/2,y+1/2,z'
'-x+1/2,y+1/2,-z'
loop_
_atom_site_label
_atom_site_type_symbol
_atom_site_fract_x
_atom_site_fract_y
_atom_site_fract_z
Tm1 Tm 0.0000 0.0000 0.0000
In1 In 0.0000 0.3316 0.0000
Cl1 Cl 0.2282 0.1694 0.2410
Cl2 Cl 0.2394 0.3400 0.7613
Cl3 Cl 0.2502 0.4877 0.2398
```

The 6 most intense peaks (5 to 70 degrees two-theta), sorted by position:
d/Å	intensity
6.085	91.5
5.441	41.2
3.242	53.4
2.671	100.0
1.902	33.8
1.876	32.7

***

# 9
The following is a simulated powder diffractogram of IrCl4. It was derived from a DFT-relaxed cell (GGA-PBE, OQMD), using Cu Kα X-rays.
No peak broadening, texture or thermal motion is included.

Structural model:
```
data_IrCl4
_symmetry_space_group_name_H-M 'C m m m'
_symmetry_Int_Tables_number 65
_symmetry_space_group_name_Hall '-C 2 2'
_cell_length_a 7.9574
_cell_length_b 8.4529
_cell_length_c 3.5294
_cell_angle_alpha 90.00
_cell_angle_beta 90.00
_cell_angle_gamma 90.00
loop_
_atom_site_label
_atom_site_type_symbol
_atom_site_fract_x
_atom_site_fract_y
_atom_site_fract_z
Ir1 Ir 0.0000 0.0000 0.0000
Cl1 Cl 0.0000 0.1858 0.5000
Cl2 Cl 0.2114 0.5000 0.0000
```

The 6 most intense peaks (5 to 70 degrees two-theta), sorted by position:
d/Å	intensity
5.794	100.0
4.226	27.2
3.014	20.8
2.709	37.6
2.531	22.5
2.122	21.8

***

# 10
The following is a simulated powder diffractogram of IrCl4. It was derived from a DFT-relaxed cell (GGA-PBE, OQMD), using Cu Kα X-rays.
No peak broadening, texture or thermal motion is included.

Structural model:
```
data_IrCl4
_symmetry_space_group_name_H-M 'F d d 2'
_symmetry_Int_Tables_number 43
_symmetry_space_group_name_Hall 'F 2 -2d'
_cell_length_a 10.7564
_cell_length_b 11.2228
_cell_length_c 7.1882
_cell_angle_alpha 90.00
_cell_angle_beta 90.00
_cell_angle_gamma 90.00
loop_
_atom_site_label
_atom_site_type_symbol
_atom_site_fract_x
_atom_site_fract_y
_atom_site_fract_z
Ir1 Ir 0.0000 0.0000 0.0000
Cl1 Cl 0.1145 0.0844 0.2625
Cl2 Cl 0.1200 0.0931 0.7890
```

The 6 most intense peaks (5 to 70 degrees two-theta), sorted by position:
d/Å	intensity
5.275	100.0
3.883	49.7
3.171	27.4
3.085	24.1
2.988	20.6
2.010	26.2

***

# 11
The following is a simulated powder diffractogram of K3IrCl6. It was derived from a DFT-relaxed cell (GGA-PBE, OQMD), using Cu Kα X-rays.
No peak broadening, texture or thermal motion is included.

Structural model:
```
data_K3IrCl6
_symmetry_space_group_name_H-M 'R -3'
_symmetry_Int_Tables_number 148
_symmetry_space_group_name_Hall '-R 3'
_cell_length_a 7.5820
_cell_length_b 7.5820
_cell_length_c 17.2062
_cell_angle_alpha 90.00
_cell_angle_beta 90.00
_cell_angle_gamma 120.00
loop_
_atom_site_label
_atom_site_type_symbol
_atom_site_fract_x
_atom_site_fract_y
_atom_site_fract_z
K1 K 0.0000 0.0000 0.0000
K2 K 0.0000 0.0000 0.2685
Ir1 Ir 0.0000 0.0000 0.5000
Cl1 Cl 0.0484 0.2780 0.5784
```

The 6 most intense peaks (5 to 70 degrees two-theta), sorted by position:
d/Å	intensity
6.135	100.0
5.220	69.8
3.791	42.8
3.598	45.0
3.163	30.0
2.610	48.7

***

# 12
The following is a simulated powder diffractogram of K3IrCl6. It was derived from a DFT-relaxed cell (GGA-PBE, OQMD), using Cu Kα X-rays.
No peak broadening, texture or thermal motion is included.

Structural model:
```
data_K3IrCl6
_symmetry_space_group_name_H-M 'F m -3 m'
_symmetry_Int_Tables_number 225
_symmetry_space_group_name_Hall '-F 4 2 3'
_cell_length_a 10.4620
_cell_length_b 10.4620
_cell_length_c 10.4620
_cell_angle_alpha 90.00
_cell_angle_beta 90.00
_cell_angle_gamma 90.00
loop_
_atom_site_label
_atom_site_type_symbol
_atom_site_fract_x
_atom_site_fract_y
_atom_site_fract_z
K1 K 0.0000 0.0000 0.0000
K2 K 0.2500 0.2500 0.2500
Ir1 Ir 0.0000 0.0000 0.5000
Cl1 Cl 0.0000 0.0000 0.2755
```

The 6 most intense peaks (5 to 70 degrees two-theta), sorted by position:
d/Å	intensity
6.040	100.0
5.231	84.8
3.699	88.0
2.616	76.2
2.339	37.1
1.849	47.6